# La2Pm3Hg2
Computed powder diffractogram, Cu Kα, 1.54184 Å. Input: a structure optimized by DFT (PBE).
No peak broadening, texture or thermal motion is included.

Atomic structure:
Cell: 15.974 15.974 3.714 Å, 90.00 90.00 166.51°
Atoms (fractional coordinates):
La  0.205  0.795  0.000
La  0.795  0.205  0.000
Pm  0.079  0.921  0.000
Pm  0.500  0.500  0.500
Pm  0.921  0.079  0.000
Hg  0.362  0.638  0.500
Hg  0.638  0.362  0.500

Peak list (10 most intense, 2θ from 10° to 90°, sorted by position)
Position (°2θ), d (Å), I/Imax
11.16, 7.932, 23
29.39, 3.039, 35
30.94, 2.890, 100
33.05, 2.711, 51
34.09, 2.630, 74
35.04, 2.561, 18
39.78, 2.266, 20
55.69, 1.651, 25
59.14, 1.562, 32
59.97, 1.543, 19


# La5PmHg2
Computed powder diffractogram, Cu Kα, 1.54184 Å. Input: a structure optimized by DFT (PBE).
No peak broadening, texture or thermal motion is included.

Atomic structure:
Cell: 5.623 5.623 20.342 Å, 90.00 90.00 120.00°
Atoms (fractional coordinates):
La  0.000  0.000  0.160
La  0.000  0.000  0.340
La  0.000  0.000  0.660
La  0.000  0.000  0.840
La  0.333  0.667  0.062
La  0.333  0.667  0.250
La  0.333  0.667  0.438
La  0.667  0.333  0.562
La  0.667  0.333  0.750
La  0.667  0.333  0.938
Pm  0.333  0.667  0.750
Pm  0.667  0.333  0.250
Hg  0.333  0.667  0.597
Hg  0.333  0.667  0.903
Hg  0.667  0.333  0.097
Hg  0.667  0.333  0.403

Peak list (10 most intense, 2θ from 10° to 90°, sorted by position)
Position (°2θ), d (Å), I/Imax
18.22, 4.870, 11
26.29, 3.390, 11
31.83, 2.812, 100
32.17, 2.782, 59
35.99, 2.495, 16
41.74, 2.164, 20
45.88, 1.978, 22
56.71, 1.623, 19
56.93, 1.618, 23
66.51, 1.406, 12


# LaPm2Hg3
Computed powder diffractogram, Cu Kα, 1.54184 Å. Input: a structure optimized by DFT (PBE).
No peak broadening, texture or thermal motion is included.

Atomic structure:
Cell: 5.414 7.747 8.564 Å, 90.00 108.21 90.00°
Atoms (fractional coordinates):
La  0.166  0.000  0.333
La  0.834  0.000  0.667
Pm  0.168  0.500  0.337
Pm  0.500  0.000  0.000
Pm  0.500  0.500  0.000
Pm  0.832  0.500  0.663
Hg  0.000  0.258  0.000
Hg  0.000  0.742  0.000
Hg  0.336  0.258  0.672
Hg  0.336  0.742  0.672
Hg  0.664  0.258  0.328
Hg  0.664  0.742  0.328

Peak list (10 most intense, 2θ from 10° to 90°, sorted by position)
Position (°2θ), d (Å), I/Imax
32.88, 2.724, 100
33.06, 2.709, 50
46.91, 1.937, 9
47.37, 1.919, 9
47.55, 1.912, 9
58.59, 1.576, 19
58.88, 1.568, 19
59.00, 1.566, 19
78.11, 1.224, 8
78.79, 1.215, 6


# LaPm5Hg6
Computed powder diffractogram, Cu Kα, 1.54184 Å. Input: a structure optimized by DFT (PBE).
No peak broadening, texture or thermal motion is included.

Atomic structure:
Cell: 5.397 7.694 8.537 Å, 90.00 108.19 90.00°
Atoms (fractional coordinates):
La  0.000  0.000  0.000
Pm  0.000  0.500  0.000
Pm  0.332  0.000  0.666
Pm  0.334  0.500  0.670
Pm  0.666  0.500  0.330
Pm  0.668  0.000  0.334
Hg  0.171  0.254  0.339
Hg  0.171  0.746  0.339
Hg  0.500  0.255  0.000
Hg  0.500  0.745  0.000
Hg  0.829  0.254  0.661
Hg  0.829  0.746  0.661

Peak list (10 most intense, 2θ from 10° to 90°, sorted by position)
Position (°2θ), d (Å), I/Imax
33.05, 2.711, 100
33.17, 2.701, 50
47.26, 1.924, 9
47.51, 1.914, 9
47.72, 1.906, 9
58.95, 1.567, 19
59.11, 1.563, 19
59.25, 1.560, 19
79.09, 1.211, 6
79.43, 1.206, 6


# La3PmHg2
Computed powder diffractogram, Cu Kα, 1.54184 Å. Input: a structure optimized by DFT (PBE).
No peak broadening, texture or thermal motion is included.

Atomic structure:
Cell: 5.412 9.860 7.109 Å, 90.00 90.00 90.00°
Atoms (fractional coordinates):
La  0.000  0.058  0.000
La  0.000  0.327  0.321
La  0.000  0.673  0.821
La  0.000  0.942  0.500
La  0.500  0.174  0.696
La  0.500  0.826  0.196
Pm  0.500  0.447  0.020
Pm  0.500  0.553  0.520
Hg  0.000  0.353  0.780
Hg  0.000  0.647  0.280
Hg  0.500  0.152  0.239
Hg  0.500  0.848  0.739

Peak list (10 most intense, 2θ from 10° to 90°, sorted by position)
Position (°2θ), d (Å), I/Imax
27.50, 3.243, 20
30.08, 2.971, 18
31.02, 2.883, 30
31.45, 2.845, 100
31.86, 2.809, 89
33.11, 2.706, 59
40.95, 2.204, 25
46.00, 1.973, 20
58.10, 1.588, 18
58.35, 1.581, 16


# LaPm4Hg5
Computed powder diffractogram, Cu Kα, 1.54184 Å. Input: a structure optimized by DFT (PBE).
No peak broadening, texture or thermal motion is included.

Atomic structure:
Cell: 3.836 3.836 19.123 Å, 90.00 90.00 90.00°
Atoms (fractional coordinates):
La  0.000  0.000  0.000
Pm  0.000  0.000  0.204
Pm  0.000  0.000  0.401
Pm  0.000  0.000  0.599
Pm  0.000  0.000  0.796
Hg  0.500  0.500  0.107
Hg  0.500  0.500  0.302
Hg  0.500  0.500  0.500
Hg  0.500  0.500  0.698
Hg  0.500  0.500  0.893

Peak list (10 most intense, 2θ from 10° to 90°, sorted by position)
Position (°2θ), d (Å), I/Imax
23.21, 3.832, 3
33.06, 2.710, 100
47.40, 1.918, 12
47.55, 1.912, 6
59.05, 1.564, 38
69.29, 1.356, 4
69.40, 1.354, 8
78.94, 1.213, 11
79.17, 1.210, 5
88.36, 1.106, 4


- Which formula does entry 2 have?
  La5PmHg2